(1)
This entry pairs a crystal structure of LiCuPO4 with its simulated XRD peak list. Radiation: Cu Kα (λ = 1.5418 Å). Structure: the PBE geometry in Alexandria.
Kinematic intensities with the Lorentz-polarization factor, no thermal factor.

Main lines, sorted by position (2θ from 15° to 90°):
2θ = 21.92°, I 25.4; 2θ = 22.06°, I 100.0; 2θ = 25.63°, I 9.2; 2θ = 31.19°, I 9.8; 2θ = 36.16°, I 12.4; 2θ = 36.33°, I 12.5; 2θ = 36.46°, I 21.0; 2θ = 36.67°, I 20.3; 2θ = 42.40°, I 7.9; 2θ = 43.11°, I 13.0

Cell and atoms:
Cell: 4.929 4.901 8.594 Å, 90.00 124.63 90.00°
Sites, in units of the cell vectors:
Li 0.000 0.180 0.000
Li 0.000 0.820 0.500
Cu 0.479 0.210 0.498
Cu 0.479 0.790 0.998
P 0.761 0.313 0.248
P 0.761 0.687 0.748
O 0.070 0.241 0.249
O 0.070 0.759 0.749
O 0.454 0.188 0.068
O 0.454 0.812 0.568
O 0.717 0.372 0.747
O 0.717 0.628 0.247
O 0.819 0.200 0.434
O 0.819 0.800 0.934

=====

(2)
This entry pairs a crystal structure of Te2PHI with its simulated XRD peak list. Radiation: Cu Kα (λ = 1.5418 Å). Structure: the PBE geometry in Alexandria.
Kinematic intensities with the Lorentz-polarization factor, no thermal factor.

Main lines, sorted by position (2θ from 15° to 90°):
2θ = 22.24°, I 62.3; 2θ = 31.51°, I 100.0; 2θ = 42.07°, I 22.6; 2θ = 45.26°, I 36.1; 2θ = 48.09°, I 30.5; 2θ = 63.58°, I 13.0; 2θ = 65.78°, I 11.8; 2θ = 66.02°, I 11.6; 2θ = 70.29°, I 19.2; 2θ = 79.16°, I 20.8

Cell and atoms:
Cell: 4.296 4.296 7.996 Å, 90.00 90.00 90.00°
Sites, in units of the cell vectors:
Te 0.000 0.500 0.000
Te 0.500 0.000 0.000
P 0.000 0.000 0.500
H 0.500 0.500 0.000
I 0.500 0.500 0.500

=====

(3)
This entry pairs a crystal structure of Ga7Cu3Se12 with its simulated XRD peak list. Radiation: Cu Kα (λ = 1.5418 Å). Structure: the PBE geometry in Alexandria.
Kinematic intensities with the Lorentz-polarization factor, no thermal factor.

Main lines, sorted by position (2θ from 15° to 90°):
2θ = 27.40°, I 100.0; 2θ = 45.33°, I 24.0; 2θ = 45.37°, I 23.5; 2θ = 45.81°, I 23.2; 2θ = 53.39°, I 14.6; 2θ = 54.21°, I 27.9; 2θ = 66.80°, I 7.0; 2θ = 72.91°, I 5.7; 2θ = 72.97°, I 5.4; 2θ = 84.45°, I 14.2

Cell and atoms:
Cell: 10.619 10.619 15.849 Å, 124.09 124.09 21.49°
Sites, in units of the cell vectors:
Ga 0.000 0.000 0.000
Ga 0.002 0.002 0.504
Ga 0.011 0.011 0.758
Ga 0.333 0.333 0.997
Ga 0.336 0.336 0.241
Ga 0.663 0.663 0.250
Ga 0.673 0.673 0.493
Cu 0.337 0.337 0.504
Cu 0.340 0.340 0.763
Cu 0.674 0.674 0.763
Se 0.252 0.252 0.812
Se 0.253 0.253 0.061
Se 0.256 0.256 0.315
Se 0.260 0.260 0.573
Se 0.583 0.583 0.311
Se 0.591 0.591 0.060
Se 0.593 0.593 0.571
Se 0.593 0.593 0.827
Se 0.919 0.919 0.566
Se 0.920 0.920 0.813
Se 0.925 0.925 0.074
Se 0.926 0.926 0.314

=====

(4)
This entry pairs a crystal structure of NaPd3 with its simulated XRD peak list. Radiation: Cu Kα (λ = 1.5418 Å). Structure: the PBE geometry in Alexandria.
Kinematic intensities with the Lorentz-polarization factor, no thermal factor.

Main lines, sorted by position (2θ from 15° to 90°):
2θ = 20.70°, I 15.9; 2θ = 21.91°, I 6.5; 2θ = 38.83°, I 100.0; 2θ = 44.67°, I 16.7; 2θ = 45.37°, I 31.8; 2θ = 65.56°, I 21.3; 2θ = 66.10°, I 10.0; 2θ = 78.38°, I 12.1; 2θ = 79.39°, I 23.3; 2θ = 83.32°, I 10.3

Cell and atoms:
Cell: 6.960 6.323 4.944 Å, 75.20 61.43 43.38°
Sites, in units of the cell vectors:
Na 0.126 0.126 0.874
Na 0.874 0.874 0.126
Pd 0.000 0.000 0.500
Pd 0.250 0.250 0.250
Pd 0.379 0.379 0.621
Pd 0.500 0.500 0.000
Pd 0.621 0.621 0.379
Pd 0.750 0.750 0.750

=====

(5)
This entry pairs a crystal structure of KSn3Br12 with its simulated XRD peak list. Radiation: Cu Kα (λ = 1.5418 Å). Structure: the PBE geometry in Alexandria.
Kinematic intensities with the Lorentz-polarization factor, no thermal factor.

Main lines, sorted by position (2θ from 15° to 90°):
2θ = 16.37°, I 100.0; 2θ = 18.05°, I 54.8; 2θ = 20.10°, I 36.8; 2θ = 24.85°, I 52.7; 2θ = 27.51°, I 44.2; 2θ = 28.19°, I 81.1; 2θ = 34.88°, I 36.8; 2θ = 39.73°, I 28.7; 2θ = 44.96°, I 36.6; 2θ = 45.18°, I 32.0

Cell and atoms:
Cell: 13.500 13.500 9.077 Å, 90.00 90.00 120.00°
Sites, in units of the cell vectors:
K 0.333 0.667 0.250
K 0.667 0.333 0.750
Sn 0.097 0.371 0.750
Sn 0.274 0.903 0.750
Sn 0.371 0.274 0.250
Sn 0.629 0.726 0.750
Sn 0.726 0.097 0.250
Sn 0.903 0.629 0.250
Br 0.003 0.156 0.750
Br 0.030 0.539 0.250
Br 0.153 0.997 0.750
Br 0.156 0.153 0.250
Br 0.217 0.773 0.526
Br 0.217 0.773 0.974
Br 0.227 0.444 0.526
Br 0.227 0.444 0.974
Br 0.444 0.217 0.026
Br 0.444 0.217 0.474
Br 0.461 0.491 0.250
Br 0.491 0.030 0.750
Br 0.509 0.970 0.250
Br 0.539 0.509 0.750
Br 0.556 0.783 0.526
Br 0.556 0.783 0.974
Br 0.773 0.556 0.026
Br 0.773 0.556 0.474
Br 0.783 0.227 0.026
Br 0.783 0.227 0.474
Br 0.844 0.847 0.750
Br 0.847 0.003 0.250
Br 0.970 0.461 0.750
Br 0.997 0.844 0.250

=====

(6)
This entry pairs a crystal structure of VSCl3 with its simulated XRD peak list. Radiation: Cu Kα (λ = 1.5418 Å). Structure: the PBE geometry in Alexandria.
Kinematic intensities with the Lorentz-polarization factor, no thermal factor.

Main lines, sorted by position (2θ from 15° to 90°):
2θ = 15.04°, I 100.0; 2θ = 17.28°, I 28.6; 2θ = 22.28°, I 19.4; 2θ = 30.29°, I 63.0; 2θ = 32.31°, I 19.4; 2θ = 34.17°, I 21.2; 2θ = 35.58°, I 26.1; 2θ = 38.30°, I 24.6; 2θ = 41.96°, I 24.6; 2θ = 49.54°, I 19.3

Cell and atoms:
Cell: 7.609 7.609 11.648 Å, 92.42 92.42 128.01°
Sites, in units of the cell vectors:
V 0.009 0.133 0.148
V 0.133 0.009 0.648
V 0.867 0.991 0.352
V 0.991 0.867 0.852
S 0.051 0.677 0.706
S 0.323 0.949 0.794
S 0.677 0.051 0.206
S 0.949 0.323 0.294
Cl 0.046 0.220 0.532
Cl 0.192 0.258 0.795
Cl 0.210 0.466 0.076
Cl 0.220 0.046 0.032
Cl 0.258 0.192 0.295
Cl 0.466 0.210 0.576
Cl 0.534 0.790 0.424
Cl 0.742 0.808 0.705
Cl 0.780 0.954 0.968
Cl 0.790 0.534 0.924
Cl 0.808 0.742 0.205
Cl 0.954 0.780 0.468

=====

(7)
This entry pairs a crystal structure of PuInPd14 with its simulated XRD peak list. Radiation: Cu Kα (λ = 1.5418 Å). Structure: the PBE geometry in Alexandria.
Kinematic intensities with the Lorentz-polarization factor, no thermal factor.

Main lines, sorted by position (2θ from 15° to 90°):
2θ = 15.42°, I 1.7; 2θ = 19.13°, I 2.2; 2θ = 38.82°, I 100.0; 2θ = 44.59°, I 33.6; 2θ = 46.18°, I 15.3; 2θ = 64.89°, I 10.8; 2θ = 66.14°, I 20.3; 2θ = 78.26°, I 25.0; 2θ = 80.57°, I 11.5; 2θ = 83.30°, I 10.7

Cell and atoms:
Cell: 5.748 5.748 7.862 Å, 90.00 90.00 90.00°
Sites, in units of the cell vectors:
Pu 0.000 0.000 0.000
In 0.500 0.500 0.000
Pd 0.000 0.000 0.500
Pd 0.000 0.500 0.000
Pd 0.000 0.500 0.500
Pd 0.251 0.251 0.254
Pd 0.251 0.251 0.746
Pd 0.251 0.749 0.254
Pd 0.251 0.749 0.746
Pd 0.500 0.000 0.000
Pd 0.500 0.000 0.500
Pd 0.500 0.500 0.500
Pd 0.749 0.251 0.254
Pd 0.749 0.251 0.746
Pd 0.749 0.749 0.254
Pd 0.749 0.749 0.746

=====

(8)
This entry pairs a crystal structure of Pm3Pd5 with its simulated XRD peak list. Radiation: Cu Kα (λ = 1.5418 Å). Structure: the PBE geometry in Alexandria.
Kinematic intensities with the Lorentz-polarization factor, no thermal factor.

Main lines, sorted by position (2θ from 15° to 90°):
2θ = 30.43°, I 8.6; 2θ = 31.15°, I 19.5; 2θ = 32.42°, I 13.4; 2θ = 36.11°, I 100.0; 2θ = 38.29°, I 16.5; 2θ = 38.41°, I 16.5; 2θ = 41.60°, I 28.3; 2θ = 53.76°, I 10.9; 2θ = 62.59°, I 9.4; 2θ = 74.50°, I 14.9

Cell and atoms:
Cell: 5.936 5.936 9.939 Å, 90.00 90.00 75.69°
Sites, in units of the cell vectors:
Pm 0.127 0.873 0.750
Pm 0.298 0.298 0.000
Pm 0.298 0.298 0.500
Pm 0.702 0.702 0.000
Pm 0.702 0.702 0.500
Pm 0.873 0.127 0.250
Pd 0.007 0.434 0.750
Pd 0.183 0.817 0.050
Pd 0.183 0.817 0.450
Pd 0.434 0.007 0.250
Pd 0.470 0.530 0.250
Pd 0.530 0.470 0.750
Pd 0.566 0.993 0.750
Pd 0.817 0.183 0.550
Pd 0.817 0.183 0.950
Pd 0.993 0.566 0.250

=====

(9)
This entry pairs a crystal structure of HoTm3Se4 with its simulated XRD peak list. Radiation: Cu Kα (λ = 1.5418 Å). Structure: the PBE geometry in Alexandria.
Kinematic intensities with the Lorentz-polarization factor, no thermal factor.

Main lines, sorted by position (2θ from 15° to 90°):
2θ = 27.04°, I 11.9; 2θ = 27.22°, I 11.7; 2θ = 31.43°, I 100.0; 2θ = 44.80°, I 12.5; 2θ = 45.04°, I 49.3; 2θ = 45.27°, I 12.1; 2θ = 56.15°, I 12.8; 2θ = 65.59°, I 12.0; 2θ = 74.48°, I 11.1; 2θ = 74.61°, I 11.1

Cell and atoms:
Cell: 6.992 8.012 6.975 Å, 90.00 109.18 90.00°
Sites, in units of the cell vectors:
Ho 0.000 0.124 0.250
Ho 0.000 0.876 0.750
Tm 0.000 0.374 0.750
Tm 0.000 0.626 0.250
Tm 0.500 0.124 0.750
Tm 0.500 0.374 0.250
Tm 0.500 0.626 0.750
Tm 0.500 0.876 0.250
Se 0.251 0.377 0.501
Se 0.251 0.623 0.001
Se 0.253 0.126 0.000
Se 0.253 0.874 0.500
Se 0.747 0.126 0.500
Se 0.747 0.874 0.000
Se 0.749 0.377 0.999
Se 0.749 0.623 0.499